Theoretical PXRD pattern
Compound: LiEu2CoO4
Radiation: Cu Kα
Structure: a structure optimized by DFT (GGA+U)
Peak positions follow from Bragg's law for the DFT cell and can differ from measured ones.

The 12 most intense peaks (2θ from 5° to 70°), low angle first:
2θ 11.15, intensity 37, hkl 0 0 1; 2θ 25.50, intensity 44, hkl 0 1 1; 2θ 25.69, intensity 51, hkl 0 1 -1; 2θ 29.14, intensity 49, hkl 1 0 1; 2θ 32.15, intensity 31, hkl 0 1 2; 2θ 32.46, intensity 26, hkl 0 1 -2; 2θ 33.90, intensity 49, hkl 0 0 3; 2θ 35.16, intensity 36, hkl 1 0 2; 2θ 35.31, intensity 36, hkl 1 0 -2; 2θ 35.61, intensity 100, hkl 1 1 0; 2θ 46.93, intensity 30, hkl 0 2 0; 2θ 55.30, intensity 18, hkl 2 0 0

Cell and atoms:
```
LiEu2CoO4
1.0
3.322 0.000 0.000
0.009 3.872 0.000
0.032 0.074 7.934
Li Eu Co O
1 2 1 4
Direct
0.000 0.000 0.000 Li
0.000 0.988 0.597 Eu
0.498 0.503 0.258 Eu
0.499 0.488 0.858 Co
0.012 0.001 0.301 O
0.496 0.000 0.831 O
0.500 0.502 0.566 O
0.994 0.503 0.022 O
```